(1)
Computed X-ray powder pattern of Cs2UTaO6 for λ = 1.5418 Å (Cu Kα), from a structure optimized by DFT (PBE).
Neutral-atom scattering factors, no anomalous dispersion.

Structural model:
Cell: 6.0522 6.0522 6.0522 Å, 60.00 60.00 60.00°
Fractional coordinates of all 10 atoms:
1 Cs 0.2500 0.2500 0.2500
2 Cs 0.7500 0.7500 0.7500
3 U 0.0000 0.0000 0.0000
4 Ta 0.5000 0.5000 0.5000
5 O 0.2603 0.2603 0.7397
6 O 0.2603 0.7397 0.2603
7 O 0.2603 0.7397 0.7397
8 O 0.7397 0.2603 0.2603
9 O 0.7397 0.2603 0.7397
10 O 0.7397 0.7397 0.2603

Peak list (10 most intense, 2θ = 15–90°, by angle)
2θ 20.76, I = 9; 2θ 29.52, I = 100; 2θ 42.23, I = 27; 2θ 47.51, I = 4; 2θ 52.37, I = 42; 2θ 61.26, I = 18; 2θ 65.42, I = 2; 2θ 69.45, I = 19; 2θ 77.22, I = 6; 2θ 84.76, I = 23

***

(2)
Computed X-ray powder pattern of CsTc2O6 for λ = 1.5418 Å (Cu Kα), from a structure optimized by DFT (PBE).
Neutral-atom scattering factors, no anomalous dispersion.

Structural model:
Cell: 5.3690 5.3690 6.5417 Å, 90.00 90.00 120.00°
Fractional coordinates of all 9 atoms:
1 Cs 0.0000 0.0000 0.0000
2 Tc 0.3333 0.6667 0.5000
3 Tc 0.6667 0.3333 0.5000
4 O 0.0000 0.4055 0.6622
5 O 0.0000 0.5945 0.3378
6 O 0.4055 0.0000 0.6622
7 O 0.4055 0.4055 0.3378
8 O 0.5945 0.0000 0.3378
9 O 0.5945 0.5945 0.6622

Peak list (10 most intense, 2θ = 15–90°, by angle)
2θ 23.47, I = 100; 2θ 27.27, I = 16; 2θ 33.38, I = 28; 2θ 41.21, I = 15; 2θ 43.62, I = 40; 2θ 45.97, I = 12; 2θ 54.03, I = 19; 2θ 57.99, I = 10; 2θ 59.66, I = 9; 2θ 67.01, I = 11

***

(3)
Computed X-ray powder pattern of CsTc2TeO8 for λ = 1.5418 Å (Cu Kα), from a structure optimized by DFT (PBE).
Neutral-atom scattering factors, no anomalous dispersion.

Structural model:
Cell: 5.5604 5.5604 9.1708 Å, 97.21 97.21 77.19°
Fractional coordinates of all 12 atoms:
1 Cs 0.0000 0.0000 0.0000
2 Tc 0.3985 0.3985 0.7437
3 Tc 0.6015 0.6015 0.2563
4 Te 0.0000 0.0000 0.5000
5 O 0.2389 0.2389 0.5915
6 O 0.2836 0.6978 0.2721
7 O 0.3022 0.7164 0.7279
8 O 0.3269 0.3269 0.9102
9 O 0.6731 0.6731 0.0898
10 O 0.6978 0.2836 0.2721
11 O 0.7164 0.3022 0.7279
12 O 0.7611 0.7611 0.4085

Peak list (10 most intense, 2θ = 15–90°, by angle)
2θ 18.28, I = 24; 2θ 19.99, I = 18; 2θ 20.71, I = 38; 2θ 24.36, I = 100; 2θ 25.68, I = 45; 2θ 26.96, I = 62; 2θ 33.90, I = 25; 2θ 42.02, I = 16; 2θ 49.91, I = 14; 2θ 56.94, I = 14

***

(4)
Computed X-ray powder pattern of Cs2ThTc3O12 for λ = 1.5418 Å (Cu Kα), from a structure optimized by DFT (PBE).
Neutral-atom scattering factors, no anomalous dispersion.

Structural model:
Cell: 7.7332 7.7332 7.7332 Å, 57.13 57.13 57.13°
Fractional coordinates of all 18 atoms:
1 Cs 0.1153 0.1153 0.1153
2 Cs 0.8847 0.8847 0.8847
3 Th 0.5000 0.5000 0.5000
4 Tc 0.0000 0.5000 0.5000
5 Tc 0.5000 0.0000 0.5000
6 Tc 0.5000 0.5000 0.0000
7 O 0.1385 0.5773 0.5773
8 O 0.2011 0.2011 0.5710
9 O 0.2011 0.5710 0.2011
10 O 0.4227 0.4227 0.8615
11 O 0.4227 0.8615 0.4227
12 O 0.4290 0.7989 0.7989
13 O 0.5710 0.2011 0.2011
14 O 0.5773 0.1385 0.5773
15 O 0.5773 0.5773 0.1385
16 O 0.7989 0.4290 0.7989
17 O 0.7989 0.7989 0.4290
18 O 0.8615 0.4227 0.4227

Peak list (10 most intense, 2θ = 15–90°, by angle)
2θ 24.07, I = 36; 2θ 26.93, I = 71; 2θ 27.81, I = 100; 2θ 28.25, I = 21; 2θ 29.38, I = 59; 2θ 44.13, I = 28; 2θ 44.71, I = 31; 2θ 47.10, I = 30; 2θ 49.28, I = 39; 2θ 57.06, I = 20

***

(5)
Computed X-ray powder pattern of Cs2TlTc2O6 for λ = 1.5418 Å (Cu Kα), from a structure optimized by DFT (PBE).
Neutral-atom scattering factors, no anomalous dispersion.

Structural model:
Cell: 8.0197 8.0197 8.0197 Å, 49.19 49.19 49.19°
Fractional coordinates of all 11 atoms:
1 Cs 0.2101 0.2101 0.2101
2 Cs 0.7899 0.7899 0.7899
3 Tl 0.0000 0.0000 0.0000
4 Tc 0.4125 0.4125 0.4125
5 Tc 0.5875 0.5875 0.5875
6 O 0.2699 0.2699 0.7254
7 O 0.2699 0.7254 0.2699
8 O 0.2746 0.7301 0.7301
9 O 0.7254 0.2699 0.2699
10 O 0.7301 0.2746 0.7301
11 O 0.7301 0.7301 0.2746

Peak list (10 most intense, 2θ = 15–90°, by angle)
2θ 26.15, I = 100; 2θ 26.71, I = 91; 2θ 37.72, I = 39; 2θ 45.78, I = 18; 2θ 46.82, I = 37; 2θ 47.16, I = 19; 2θ 47.39, I = 11; 2θ 55.02, I = 17; 2θ 61.05, I = 15; 2θ 61.91, I = 18

***

(6)
Computed X-ray powder pattern of Cs2UTc3O12 for λ = 1.5418 Å (Cu Kα), from a structure optimized by DFT (PBE).
Neutral-atom scattering factors, no anomalous dispersion.

Structural model:
Cell: 7.5918 7.5918 7.5918 Å, 57.60 57.60 57.60°
Fractional coordinates of all 18 atoms:
1 Cs 0.1197 0.1197 0.1197
2 Cs 0.8803 0.8803 0.8803
3 U 0.5000 0.5000 0.5000
4 Tc 0.0000 0.5000 0.5000
5 Tc 0.5000 0.0000 0.5000
6 Tc 0.5000 0.5000 0.0000
7 O 0.1664 0.5714 0.5714
8 O 0.1980 0.1980 0.5674
9 O 0.1980 0.5674 0.1980
10 O 0.4286 0.4286 0.8336
11 O 0.4286 0.8336 0.4286
12 O 0.4326 0.8020 0.8020
13 O 0.5674 0.1980 0.1980
14 O 0.5714 0.1664 0.5714
15 O 0.5714 0.5714 0.1664
16 O 0.8020 0.4326 0.8020
17 O 0.8020 0.8020 0.4326
18 O 0.8336 0.4286 0.4286

Peak list (10 most intense, 2θ = 15–90°, by angle)
2θ 24.34, I = 30; 2θ 27.45, I = 54; 2θ 28.22, I = 100; 2θ 28.57, I = 14; 2θ 29.75, I = 45; 2θ 44.79, I = 21; 2θ 45.29, I = 27; 2θ 48.00, I = 27; 2θ 49.87, I = 27; 2θ 57.86, I = 15